(1)
Simulated X-ray diffraction stick pattern of Ho3Tm3Th2 for Cu Kα X-rays, from a crystal structure in Alexandria, relaxed with GGA-PBE.

```
data_Ho3Tm3Th2
_space_group_name_H-M_alt 'I m m m'
_space_group_IT_number 71
_space_group_name_Hall '-I 2 2'
_cell_length_a 4.9936
_cell_length_b 4.9946
_cell_length_c 20.0071
_cell_angle_alpha 90.00
_cell_angle_beta 90.00
_cell_angle_gamma 90.00
loop_
_atom_site_label
_atom_site_fract_x
_atom_site_fract_y
_atom_site_fract_z
_atom_site_occupancy
Ho1 0.0000 0.0000 0.0000 1
Ho2 0.0000 0.5000 0.1266 1
Tm1 0.0000 0.0000 0.5000 1
Tm2 0.0000 0.5000 0.3737 1
Th1 0.0000 0.0000 0.2499 1
```

Main lines, in order of falling intensity (15 to 90 degrees two-theta):
Position (°2θ)	I_rel	(hkl)
31.00	100.0	1 1 4
35.95	50.7	2 0 0
61.56	43.3	3 1 4
51.75	36.3	2 2 0
84.52	18.2	3 3 4
64.62	12.5	2 2 8
87.31	8.6	4 2 0
87.21	8.5	0 4 8
76.26	3.9	4 0 0
76.12	1.9	0 0 16

***

(2)
Simulated X-ray diffraction stick pattern of BeAlCu4 for Cu Kα X-rays, from a crystal structure in Alexandria, relaxed with GGA-PBE.

```
data_BeAlCu4
_space_group_name_H-M_alt 'P 1 m 1'
_space_group_IT_number 6
_space_group_name_Hall 'P -2y'
_cell_length_a 3.2463
_cell_length_b 3.8236
_cell_length_c 5.8959
_cell_angle_alpha 90.00
_cell_angle_beta 105.79
_cell_angle_gamma 90.00
loop_
_atom_site_label
_atom_site_fract_x
_atom_site_fract_y
_atom_site_fract_z
_atom_site_occupancy
Be1 0.0000 0.0000 0.0000 1
Al1 0.1735 0.5000 0.3476 1
Cu1 0.3436 0.0000 0.6887 1
Cu2 0.5058 0.5000 0.0119 1
Cu3 0.6607 0.0000 0.3217 1
Cu4 0.8413 0.5000 0.6836 1
```

Main lines, in order of falling intensity (15 to 90 degrees two-theta):
Position (°2θ)	I_rel	(hkl)
43.66	100.0	1 1 1
43.77	99.2	1 1 -2
47.56	38.9	0 2 0
48.12	35.6	0 0 3
28.60	31.4	1 0 -1
28.14	24.2	0 1 1
56.71	22.2	2 0 -1
69.98	21.2	0 2 3
77.08	16.7	2 2 -1
39.56	16.6	0 1 2